The following is a theoretical X-ray powder pattern of PmCdH4Pd6. It was derived from a crystal structure in Alexandria, relaxed with PBE, using Cu Kα (λ = 1.5418 Å).
Kinematic intensities with the Lorentz-polarization factor, no thermal factor.

Largest 10 diffraction maxima, in order of rising 2θ, 10 to 90 degrees two-theta:
| 2θ/deg | Rel. int. |
| --- | --- |
| 29.4 | 10.6 |
| 34.9 | 64.9 |
| 37.2 | 100.0 |
| 44.1 | 33.1 |
| 48.2 | 15.6 |
| 59.1 | 27.6 |
| 67.2 | 17.3 |
| 73.7 | 22.2 |
| 78.0 | 12.1 |
| 79.4 | 10.7 |

Structural model:
```
12
Lattice="5.575 0.000 0.000 -2.787 4.828 0.000 0.000 0.000 6.071" Properties=species:S:1:pos:R:3 pbc="T T T"
Pm 0.000 0.000 0.000
Cd 0.000 0.000 3.036
H 0.000 3.219 0.943
H 0.000 3.219 5.128
H 2.787 1.609 0.943
H 2.787 1.609 5.128
Pd -1.394 2.414 1.634
Pd -1.394 2.414 4.437
Pd 2.787 0.000 1.634
Pd 2.787 0.000 4.437
Pd 1.394 2.414 1.634
Pd 1.394 2.414 4.437
```


The following is a theoretical X-ray powder pattern of PaTa2Tl2Te6. It was derived from a crystal structure in Alexandria, relaxed with PBE, using Cu Kα (λ = 1.5418 Å).
Kinematic intensities with the Lorentz-polarization factor, no thermal factor.

Largest 10 diffraction maxima, in order of rising 2θ, 10 to 90 degrees two-theta:
| 2θ/deg | Rel. int. |
| --- | --- |
| 10.1 | 39.7 |
| 18.0 | 18.2 |
| 28.8 | 100.0 |
| 30.1 | 55.9 |
| 30.3 | 12.9 |
| 34.3 | 15.3 |
| 36.3 | 23.9 |
| 38.7 | 37.3 |
| 44.2 | 16.9 |
| 45.5 | 31.1 |

Structural model:
```
11
Lattice="3.469 -5.958 0.000 3.469 5.958 0.000 -1.653 0.000 8.723" Properties=species:S:1:pos:R:3 pbc="T T T"
Pa 0.000 0.000 0.000
Ta 3.469 1.478 0.000
Ta 3.469 -1.478 0.000
Tl 2.642 3.827 4.362
Tl 2.642 -3.827 4.362
Te 1.242 2.208 1.622
Te 0.679 0.000 6.663
Te 1.242 -2.208 1.622
Te 4.042 2.208 7.101
Te 4.606 0.000 2.060
Te 4.042 -2.208 7.101
```


The following is a theoretical X-ray powder pattern of CePa2Ga9. It was derived from a crystal structure in Alexandria, relaxed with PBE, using Cu Kα (λ = 1.5418 Å).
Kinematic intensities with the Lorentz-polarization factor, no thermal factor.

Largest 10 diffraction maxima, in order of rising 2θ, 10 to 90 degrees two-theta:
| 2θ/deg | Rel. int. |
| --- | --- |
| 20.6 | 26.0 |
| 29.3 | 22.3 |
| 36.1 | 100.0 |
| 41.9 | 49.4 |
| 47.1 | 12.7 |
| 51.9 | 9.7 |
| 60.7 | 32.7 |
| 64.8 | 6.4 |
| 72.7 | 38.1 |
| 76.5 | 11.0 |

Structural model:
```
12
Lattice="4.315 0.000 0.000 0.000 4.315 0.000 0.000 0.000 12.943" Properties=species:S:1:pos:R:3 pbc="T T T"
Ce 0.000 0.000 0.000
Pa 0.000 0.000 4.333
Pa 0.000 0.000 8.610
Ga 0.000 2.157 2.178
Ga 0.000 2.157 6.471
Ga 0.000 2.157 10.765
Ga 2.157 0.000 2.178
Ga 2.157 0.000 6.471
Ga 2.157 0.000 10.765
Ga 2.157 2.157 0.000
Ga 2.157 2.157 4.327
Ga 2.157 2.157 8.616
```


The following is a theoretical X-ray powder pattern of CeThZnFe2. It was derived from a crystal structure in Alexandria, relaxed with PBE, using Cu Kα (λ = 1.5418 Å).
Kinematic intensities with the Lorentz-polarization factor, no thermal factor.

Largest 10 diffraction maxima, in order of rising 2θ, 10 to 90 degrees two-theta:
| 2θ/deg | Rel. int. |
| --- | --- |
| 25.3 | 81.3 |
| 26.9 | 56.6 |
| 31.1 | 86.0 |
| 31.4 | 100.0 |
| 33.7 | 84.8 |
| 33.9 | 54.3 |
| 40.4 | 96.2 |
| 45.0 | 52.3 |
| 47.1 | 37.2 |
| 57.4 | 51.6 |

Structural model:
```
10
Lattice="6.080 -2.013 0.000 6.080 2.013 0.000 -0.864 0.000 8.451" Properties=species:S:1:pos:R:3 pbc="T T T"
Ce 0.639 0.000 1.609
Ce 10.657 0.000 6.841
Th 3.885 0.000 3.461
Th 7.411 0.000 4.990
Zn 3.739 0.000 0.278
Zn 7.558 0.000 8.173
Fe 0.551 0.000 7.005
Fe 2.745 0.000 6.145
Fe 8.551 0.000 2.305
Fe 10.745 0.000 1.446
```